(1)
For ErLuTlC, a structure optimized by DFT (GGA-PBE) gives the simulated XRD peak list in this record (Cu Kα (weighted mean of Kα1 and Kα2)).
Peak positions follow from Bragg's law for the DFT cell and can differ from measured ones.

Largest 8 diffraction maxima, by intensity, 10 to 80 degrees two-theta:
2θ (°), I/Imax
33.62, 100.0
62.85, 31.7
29.01, 18.5
60.11, 18.2
51.42, 17.3
44.98, 13.2
70.67, 5.7
78.13, 2.3

Structure:
```
data_ErLuTlC
_space_group_name_H-M_alt 'P -6 m 2'
_space_group_IT_number 187
_space_group_name_Hall 'P -6 2'
_cell_length_a 3.5542
_cell_length_b 3.5542
_cell_length_c 15.9970
_cell_angle_alpha 90.00
_cell_angle_beta 90.00
_cell_angle_gamma 120.00
loop_
_atom_site_label
_atom_site_type_symbol
_atom_site_fract_x
_atom_site_fract_y
_atom_site_fract_z
Er1 Er 0.0000 0.0000 0.1683
Lu1 Lu 0.3333 0.6667 0.3332
Tl1 Tl 0.0000 0.0000 0.5000
Tl2 Tl 0.3333 0.6667 0.0000
C1 C 0.6667 0.3333 0.2516
```

=====

(2)
For Na4MgAlPt2, a structure optimized by DFT (GGA-PBE) gives the simulated XRD peak list in this record (Cu Kα (weighted mean of Kα1 and Kα2)).
Peak positions follow from Bragg's law for the DFT cell and can differ from measured ones.

Largest 12 diffraction maxima, by intensity, 10 to 80 degrees two-theta:
2θ (°), I/Imax
38.17, 100.0
23.10, 94.7
26.74, 48.3
45.09, 48.2
68.99, 32.5
60.52, 19.8
62.27, 17.5
55.09, 16.7
73.84, 14.5
47.22, 13.7
32.89, 2.8
76.99, 2.6

Structure:
```
data_Na4MgAlPt2
_space_group_name_H-M_alt 'P -4 m 2'
_space_group_IT_number 115
_space_group_name_Hall 'P -4 -2'
_cell_length_a 4.7145
_cell_length_b 4.7145
_cell_length_c 6.6707
_cell_angle_alpha 90.00
_cell_angle_beta 90.00
_cell_angle_gamma 90.00
loop_
_atom_site_label
_atom_site_type_symbol
_atom_site_fract_x
_atom_site_fract_y
_atom_site_fract_z
Na1 Na 0.0000 0.0000 0.0000
Na2 Na 0.0000 0.5000 0.7483
Na3 Na 0.5000 0.5000 0.5000
Mg1 Mg 0.5000 0.5000 0.0000
Al1 Al 0.0000 0.0000 0.5000
Pt1 Pt 0.0000 0.5000 0.2688
```

=====

(3)
For LaNd2Ni2Pt7, a structure optimized by DFT (GGA-PBE) gives the simulated XRD peak list in this record (Cu Kα (weighted mean of Kα1 and Kα2)).
Peak positions follow from Bragg's law for the DFT cell and can differ from measured ones.

Largest 12 diffraction maxima, by intensity, 10 to 80 degrees two-theta:
2θ (°), I/Imax
39.07, 100.0
38.25, 62.0
42.04, 54.3
33.58, 40.9
38.74, 35.6
68.82, 34.9
41.90, 29.1
45.57, 27.1
30.71, 26.1
62.80, 24.8
20.60, 23.4
63.96, 23.2

Structure:
```
data_LaNd2Ni2Pt7
_space_group_name_H-M_alt 'R -3 m'
_space_group_IT_number 166
_space_group_name_Hall '-R 3 2"'
_cell_length_a 5.4568
_cell_length_b 5.4568
_cell_length_c 25.8717
_cell_angle_alpha 90.00
_cell_angle_beta 90.00
_cell_angle_gamma 120.00
loop_
_atom_site_label
_atom_site_type_symbol
_atom_site_fract_x
_atom_site_fract_y
_atom_site_fract_z
La1 La 0.0000 0.0000 0.0000
Nd1 Nd 0.0000 0.0000 0.1397
Ni1 Ni 0.0000 0.0000 0.3331
Pt1 Pt 0.0000 0.0000 0.5000
Pt2 Pt 0.0030 0.5015 0.9200
```

=====

(4)
For Dy2Er3Tm2Te2Pd2, a structure optimized by DFT (GGA-PBE) gives the simulated XRD peak list in this record (Cu Kα (weighted mean of Kα1 and Kα2)).
Peak positions follow from Bragg's law for the DFT cell and can differ from measured ones.

Largest 12 diffraction maxima, by intensity, 10 to 80 degrees two-theta:
2θ (°), I/Imax
33.74, 100.0
30.06, 69.4
32.94, 60.6
34.25, 48.3
46.42, 34.8
28.55, 32.1
58.08, 30.8
36.36, 22.0
38.20, 20.9
39.40, 16.2
34.42, 14.3
65.00, 14.0

Structure:
```
data_Dy2Er3Tm2Te2Pd2
_space_group_name_H-M_alt 'I m m 2'
_space_group_IT_number 44
_space_group_name_Hall 'I 2 -2'
_cell_length_a 3.9134
_cell_length_b 15.6351
_cell_length_c 9.5605
_cell_angle_alpha 90.00
_cell_angle_beta 90.00
_cell_angle_gamma 90.00
loop_
_atom_site_label
_atom_site_type_symbol
_atom_site_fract_x
_atom_site_fract_y
_atom_site_fract_z
Dy1 Dy 0.0000 0.1437 0.0000
Er1 Er 0.0000 0.3708 0.8486
Er2 Er 0.0000 0.5000 0.2642
Tm1 Tm 0.0000 0.1824 0.6399
Te1 Te 0.0000 0.0000 0.5003
Te2 Te 0.0000 0.5000 0.6030
Pd1 Pd 0.0000 0.2622 0.3337
```

=====

(5)
For TlAgSeS, a structure optimized by DFT (GGA-PBE) gives the simulated XRD peak list in this record (Cu Kα (weighted mean of Kα1 and Kα2)).
Peak positions follow from Bragg's law for the DFT cell and can differ from measured ones.

Largest 12 diffraction maxima, by intensity, 10 to 80 degrees two-theta:
2θ (°), I/Imax
25.31, 100.0
41.85, 84.2
25.20, 51.1
25.42, 48.8
49.68, 46.7
42.10, 41.7
49.48, 38.6
29.27, 24.1
16.27, 17.7
76.67, 13.6
60.71, 13.3
29.39, 12.2

Structure:
```
data_TlAgSeS
_space_group_name_H-M_alt 'C 1 c 1'
_space_group_IT_number 9
_space_group_name_Hall 'C -2yc'
_cell_length_a 8.6300
_cell_length_b 8.6302
_cell_length_c 7.4216
_cell_angle_alpha 90.00
_cell_angle_beta 125.03
_cell_angle_gamma 90.00
loop_
_atom_site_label
_atom_site_type_symbol
_atom_site_fract_x
_atom_site_fract_y
_atom_site_fract_z
Tl1 Tl 0.0000 0.1201 0.0000
Ag1 Ag 0.0162 0.3645 0.5000
Se1 Se 0.3849 0.1195 0.2499
S1 S 0.3767 0.3724 0.7500
```

=====

(6)
For GdHoAl4Cu2, a structure optimized by DFT (GGA-PBE) gives the simulated XRD peak list in this record (Cu Kα (weighted mean of Kα1 and Kα2)).
Peak positions follow from Bragg's law for the DFT cell and can differ from measured ones.

Largest 12 diffraction maxima, by intensity, 10 to 80 degrees two-theta:
2θ (°), I/Imax
36.57, 100.0
35.07, 82.8
22.80, 54.1
37.97, 45.1
26.28, 44.6
42.78, 27.2
58.52, 25.1
53.39, 24.4
21.92, 21.9
54.43, 15.5
50.91, 14.2
71.61, 13.4

Structure:
```
data_GdHoAl4Cu2
_space_group_name_H-M_alt 'A m m 2'
_space_group_IT_number 38
_space_group_name_Hall 'A 2 -2'
_cell_length_a 6.7819
_cell_length_b 4.2271
_cell_length_c 10.1168
_cell_angle_alpha 90.00
_cell_angle_beta 90.00
_cell_angle_gamma 90.00
loop_
_atom_site_label
_atom_site_type_symbol
_atom_site_fract_x
_atom_site_fract_y
_atom_site_fract_z
Gd1 Gd 0.0000 0.0000 0.0000
Ho1 Ho 0.5000 0.0000 0.1444
Al1 Al 0.1971 0.0000 0.7109
Al2 Al 0.3044 0.0000 0.4329
Cu1 Cu 0.0000 0.0000 0.2845
Cu2 Cu 0.5000 0.0000 0.8602
```

=====

(7)
For Nb21S8, a structure optimized by DFT (GGA-PBE) gives the simulated XRD peak list in this record (Cu Kα (weighted mean of Kα1 and Kα2)).
Peak positions follow from Bragg's law for the DFT cell and can differ from measured ones.

Largest 12 diffraction maxima, by intensity, 10 to 80 degrees two-theta:
2θ (°), I/Imax
37.63, 100.0
39.17, 67.9
40.62, 28.2
67.92, 19.5
33.51, 17.9
66.85, 16.7
54.34, 16.6
32.68, 13.1
34.40, 12.9
30.83, 10.7
70.00, 10.7
44.15, 8.8

Structure:
```
data_Nb21S8
_space_group_name_H-M_alt 'I 4/m'
_space_group_IT_number 87
_space_group_name_Hall '-I 4'
_cell_length_a 16.9145
_cell_length_b 16.9145
_cell_length_c 3.3767
_cell_angle_alpha 90.00
_cell_angle_beta 90.00
_cell_angle_gamma 90.00
loop_
_atom_site_label
_atom_site_type_symbol
_atom_site_fract_x
_atom_site_fract_y
_atom_site_fract_z
Nb1 Nb 0.0000 0.0000 0.0000
Nb2 Nb 0.0200 0.7219 0.0000
Nb3 Nb 0.0491 0.1354 0.5000
Nb4 Nb 0.0496 0.5810 0.5000
Nb5 Nb 0.1158 0.3147 0.5000
Nb6 Nb 0.1917 0.1983 0.0000
S1 S 0.0640 0.8626 0.0000
S2 S 0.1357 0.7129 0.5000
```